(1)
Starting from a structure optimized by DFT (GGA-PBE), the XRD peak list of CsRbTi2Br8 was simulated for Cu Kα (weighted mean of Kα1 and Kα2).
Kinematic intensities with the Lorentz-polarization factor, no thermal factor.

Structural model:
```
data_CsRbTi2Br8
_chemical_formula_sum 'Cs3 Rb3 Ti6 Br24'
_cell_length_a 7.5051
_cell_length_b 7.5051
_cell_length_c 31.1970
_cell_angle_alpha 90.00
_cell_angle_beta 90.00
_cell_angle_gamma 120.00
_space_group_name_H-M_alt 'R -3'
_space_group_IT_number 148
_space_group_name_Hall '-R 3'
loop_
_atom_site_label
_atom_site_type_symbol
_atom_site_fract_x
_atom_site_fract_y
_atom_site_fract_z
Cs1 Cs 0.0000 0.0000 0.0000
Rb1 Rb 0.0000 0.0000 0.5000
Ti1 Ti 0.0000 0.0000 0.2571
Br1 Br 0.0000 0.0000 0.3347
Br2 Br 0.0009 0.6071 0.4350
```

Principal peaks in the range 2θ = 10–90°, low angle first:
d = 4.993 Å, 17.8 deg, intensity 31
d = 3.753 Å, 23.7 deg, intensity 19
d = 3.530 Å, 25.2 deg, intensity 100
d = 3.466 Å, 25.7 deg, intensity 27
d = 3.344 Å, 26.7 deg, intensity 23
d = 3.043 Å, 29.4 deg, intensity 87
d = 2.167 Å, 41.7 deg, intensity 38
d = 2.137 Å, 42.3 deg, intensity 36
d = 1.837 Å, 49.6 deg, intensity 17
d = 1.819 Å, 50.1 deg, intensity 17


(2)
Starting from a structure optimized by DFT (GGA-PBE), the XRD peak list of Sr2Bi2O5 was simulated for Cu Kα (weighted mean of Kα1 and Kα2).
Kinematic intensities with the Lorentz-polarization factor, no thermal factor.

Structural model:
```
data_Sr2Bi2O5
_chemical_formula_sum 'Sr4 Bi4 O10'
_cell_length_a 7.579
_cell_length_b 6.254
_cell_length_c 7.749
_cell_angle_alpha 90.00
_cell_angle_beta 104.45
_cell_angle_gamma 90.00
_space_group_name_H-M_alt 'P 1 21/m 1'
_space_group_IT_number 11
loop_
_space_group_symop_operation_xyz
'x,y,z'
'-x,-y,-z'
'-x,y+1/2,-z'
'x,-y+1/2,z'
loop_
_atom_site_label
_atom_site_type_symbol
_atom_site_fract_x
_atom_site_fract_y
_atom_site_fract_z
Sr1 Sr 0.102 0.250 0.149
Sr2 Sr 0.133 0.250 0.658
Bi1 Bi 0.363 0.750 0.473
Bi2 Bi 0.381 0.750 0.965
O1 O 0.169 0.509 0.408
O2 O 0.186 0.508 0.928
O3 O 0.487 0.750 0.251
```

Principal peaks in the range 2θ = 10–90°, low angle first:
d = 7.340 Å, 12.1 deg, intensity 19
d = 4.760 Å, 18.6 deg, intensity 25
d = 3.747 Å, 23.7 deg, intensity 50
d = 3.214 Å, 27.8 deg, intensity 66
d = 3.165 Å, 28.2 deg, intensity 100
d = 3.127 Å, 28.5 deg, intensity 41
d = 2.401 Å, 37.5 deg, intensity 20
d = 2.184 Å, 41.3 deg, intensity 23
d = 1.813 Å, 50.3 deg, intensity 23
d = 1.648 Å, 55.8 deg, intensity 28